Starting from a DFT-relaxed cell (GGA-PBE, the Materials Project), the PXRD pattern of SbOF was simulated for copper Kα.
Peak positions follow from Bragg's law for the DFT cell and can differ from measured ones.

Crystal structure
Cell lengths 7.084, 8.388, 4.077 Å; angles 90.00, 90.00, 90.00 degrees
Space group Pna2_1 (No. 33)
Symmetry-distinct sites (fractional):
Sb: 0.132 0.119 0.000
O: 0.126 0.961 0.369
F: 0.003 0.279 0.285

Largest 10 diffraction maxima, sorted by position, 2θ = 5–70°:
Position (°2θ), I/Imax, h k l
16.38, 100.0, 1 1 0
24.27, 56.3, 0 1 1
24.67, 54.9, 1 2 0
27.36, 79.0, 2 1 0
33.15, 58.4, 1 2 1
33.51, 43.4, 2 0 1
39.06, 28.0, 0 3 1
41.15, 29.6, 2 3 0
49.63, 23.2, 3 2 1
55.71, 29.8, 2 4 1